1.
Simulated X-ray diffraction stick pattern
Compound: LiTl2O4
Radiation: copper Kα
Structure: the PBE geometry in Alexandria

The 10 most intense peaks (2θ = 10–90°), by angle:
2θ/deg  I/Imax  hkl
23.62  100  2 0 0
29.57  13  2 1 1
31.16  91  1 1 2
33.64  28  2 2 0
46.51  63  3 1 2
48.32  18  4 0 0
54.46  14  4 2 0
58.61  16  3 3 2
59.55  17  2 0 4
69.31  10  5 1 2

Cell and atoms:
```
data_LiTl2O4
_cell_length_a 7.5350
_cell_length_b 7.5350
_cell_length_c 6.8152
_cell_angle_alpha 90.00
_cell_angle_beta 90.00
_cell_angle_gamma 90.00
_symmetry_space_group_name_H-M 'I -4 2 d'
_symmetry_Int_Tables_number 122
_symmetry_space_group_name_Hall 'I -4 2bw'
loop_
_atom_site_label
_atom_site_type_symbol
_atom_site_fract_x
_atom_site_fract_y
_atom_site_fract_z
Li1 Li 0.0000 0.0000 0.0000
Tl1 Tl 0.2167 0.7500 0.6250
O1 O 0.0571 0.7408 0.3564
```

=====

2.
Simulated X-ray diffraction stick pattern
Compound: Np2ZnO11
Radiation: copper Kα
Structure: the PBE geometry in Alexandria

The 10 most intense peaks (2θ = 10–90°), by angle:
2θ/deg  I/Imax  hkl
12.35  41  0 2 0
17.97  91  2 0 0
20.34  100  0 2 1
20.88  85  2 2 -1
21.87  62  2 2 0
29.76  45  0 4 1
30.17  60  2 4 -1
30.44  28  2 2 -2
32.51  38  0 0 2
39.29  32  2 4 1

Cell and atoms:
```
data_Np2ZnO11
_cell_length_a 11.5561
_cell_length_b 14.3288
_cell_length_c 6.4445
_cell_angle_alpha 90.00
_cell_angle_beta 121.32
_cell_angle_gamma 90.00
_symmetry_space_group_name_H-M 'C 1 c 1'
_symmetry_Int_Tables_number 9
_symmetry_space_group_name_Hall 'C -2yc'
loop_
_atom_site_label
_atom_site_type_symbol
_atom_site_fract_x
_atom_site_fract_y
_atom_site_fract_z
Np1 Np 0.0000 0.0741 0.0000
Np2 Np 0.0156 0.4244 0.4080
Zn1 Zn 0.2587 0.2505 0.4587
O1 O 0.0553 0.1822 0.7648
O2 O 0.0722 0.2676 0.8546
O3 O 0.1000 0.4865 0.1695
O4 O 0.1096 0.1670 0.2408
O5 O 0.1265 0.0154 0.6718
O6 O 0.1690 0.3445 0.5532
O7 O 0.3517 0.3414 0.3568
O8 O 0.3796 0.0073 0.2293
O9 O 0.4105 0.4910 0.7256
O10 O 0.4114 0.1722 0.6778
O11 O 0.4881 0.1703 0.2035
```

=====

3.
Simulated X-ray diffraction stick pattern
Compound: TiZn3Cu
Radiation: copper Kα
Structure: the PBE geometry in Alexandria

The 10 most intense peaks (2θ = 10–90°), by angle:
2θ/deg  I/Imax  hkl
21.65  14  0 2 1
36.01  55  0 2 2
41.40  55  2 0 0
41.77  80  1 5 0
44.92  100  1 3 2
45.11  17  1 5 1
56.01  29  2 2 2
77.97  18  3 3 2
84.02  18  1 5 4
84.32  13  2 8 2

Cell and atoms:
```
data_TiZn3Cu
_cell_length_a 4.3620
_cell_length_b 12.4495
_cell_length_c 5.4446
_cell_angle_alpha 90.00
_cell_angle_beta 90.00
_cell_angle_gamma 90.00
_symmetry_space_group_name_H-M 'C m c m'
_symmetry_Int_Tables_number 63
_symmetry_space_group_name_Hall '-C 2c 2'
loop_
_atom_site_label
_atom_site_type_symbol
_atom_site_fract_x
_atom_site_fract_y
_atom_site_fract_z
Ti1 Ti 0.0000 0.0954 0.2500
Zn1 Zn 0.0000 0.3060 0.5057
Zn2 Zn 0.0000 0.4791 0.2500
Cu1 Cu 0.0000 0.1283 0.7500
```